Structure and computed powder diffractogram of KHoAgO3 (a PBE-relaxed structure; λ = 1.5418 Å (Cu Kα)).
Kinematic intensities with the Lorentz-polarization factor, no thermal factor.

Largest 10 diffraction maxima, low angle first, 15° ≤ 2θ ≤ 90°:
- 27.22 deg, intensity 40
- 27.91 deg, intensity 77
- 28.63 deg, intensity 27
- 31.79 deg, intensity 68
- 31.98 deg, intensity 100
- 36.10 deg, intensity 55
- 37.48 deg, intensity 30
- 37.99 deg, intensity 98
- 52.86 deg, intensity 34
- 53.93 deg, intensity 39

Crystal structure
a = 6.8052 Å, b = 3.5249 Å, c = 9.9463 Å
α = 90.00°, β = 109.88°, γ = 90.00°
Fractional positions:
K 0.2456 0.2500 0.2419
K 0.7544 0.7500 0.7581
Ho 0.3271 0.7500 0.8656
Ho 0.6729 0.2500 0.1344
Ag 0.1454 0.2500 0.5753
Ag 0.8546 0.7500 0.4247
O 0.0943 0.2500 0.7987
O 0.3166 0.7500 0.6212
O 0.4412 0.7500 0.0996
O 0.5588 0.2500 0.9004
O 0.6834 0.2500 0.3788
O 0.9057 0.7500 0.2013

Structure and computed powder diffractogram of ScU4C5 (a PBE-relaxed structure; λ = 1.5418 Å (Cu Kα)).
Kinematic intensities with the Lorentz-polarization factor, no thermal factor.

Largest 10 diffraction maxima, low angle first, 15° ≤ 2θ ≤ 90°:
- 31.70 deg, intensity 100
- 36.77 deg, intensity 64
- 53.01 deg, intensity 37
- 62.97 deg, intensity 15
- 63.12 deg, intensity 30
- 66.13 deg, intensity 8
- 66.32 deg, intensity 8
- 86.95 deg, intensity 10
- 89.67 deg, intensity 7
- 89.79 deg, intensity 11

Crystal structure
a = 9.1645 Å, b = 9.1645 Å, c = 9.1645 Å
α = 158.29°, β = 149.10°, γ = 38.09°
Fractional positions:
Sc 0.0000 0.0000 0.0000
U 0.1983 0.1983 0.0000
U 0.4025 0.4025 0.0000
U 0.5975 0.5975 0.0000
U 0.8017 0.8017 0.0000
C 0.1001 0.6001 0.5000
C 0.3016 0.8016 0.5000
C 0.5000 0.0000 0.5000
C 0.6984 0.1984 0.5000
C 0.8999 0.3999 0.5000

Structure and computed powder diffractogram of Tl2HgAuCl6 (a PBE-relaxed structure; λ = 1.5418 Å (Cu Kα)).
Kinematic intensities with the Lorentz-polarization factor, no thermal factor.

Largest 10 diffraction maxima, low angle first, 15° ≤ 2θ ≤ 90°:
- 21.34 deg, intensity 89
- 21.46 deg, intensity 87
- 22.31 deg, intensity 68
- 24.64 deg, intensity 68
- 25.45 deg, intensity 59
- 25.56 deg, intensity 59
- 33.48 deg, intensity 100
- 33.58 deg, intensity 30
- 35.92 deg, intensity 46
- 43.59 deg, intensity 40

Crystal structure
a = 6.9760 Å, b = 7.0100 Å, c = 8.2427 Å
α = 67.28°, β = 67.09°, γ = 62.21°
Fractional positions:
Tl 0.2136 0.2141 0.3131
Tl 0.7864 0.7859 0.6869
Hg 0.0000 0.0000 0.0000
Au 0.5000 0.5000 0.5000
Cl 0.2025 0.6802 0.3405
Cl 0.2199 0.2150 0.8972
Cl 0.3152 0.7989 0.6577
Cl 0.6848 0.2011 0.3423
Cl 0.7801 0.7850 0.1028
Cl 0.7975 0.3198 0.6595

Structure and computed powder diffractogram of Li4ErTh3Te8 (a PBE-relaxed structure; λ = 1.5418 Å (Cu Kα)).
Kinematic intensities with the Lorentz-polarization factor, no thermal factor.

Largest 10 diffraction maxima, low angle first, 15° ≤ 2θ ≤ 90°:
- 24.24 deg, intensity 33
- 29.03 deg, intensity 100
- 31.58 deg, intensity 23
- 41.01 deg, intensity 38
- 42.01 deg, intensity 37
- 51.88 deg, intensity 20
- 60.16 deg, intensity 12
- 67.45 deg, intensity 17
- 68.88 deg, intensity 17
- 76.08 deg, intensity 12

Crystal structure
a = 8.8072 Å, b = 8.8072 Å, c = 8.8072 Å
α = 58.46°, β = 58.46°, γ = 58.46°
Fractional positions:
Li 0.0000 0.0000 0.0000
Li 0.0000 0.5000 0.5000
Li 0.5000 0.0000 0.5000
Li 0.5000 0.5000 0.0000
Er 0.5000 0.5000 0.5000
Th 0.0000 0.0000 0.5000
Th 0.0000 0.5000 0.0000
Th 0.5000 0.0000 0.0000
Te 0.2493 0.2493 0.7369
Te 0.2493 0.7369 0.2493
Te 0.2577 0.2577 0.2577
Te 0.2631 0.7507 0.7507
Te 0.7369 0.2493 0.2493
Te 0.7423 0.7423 0.7423
Te 0.7507 0.2631 0.7507
Te 0.7507 0.7507 0.2631